Calculated powder X-ray diffraction pattern of Mg6ZnMo for λ = 1.5418 Å (Cu Kα), from a GGA-PBE-relaxed structure.
Peak positions follow from Bragg's law for the DFT cell and can differ from measured ones.

```
data_Mg6ZnMo
_chemical_formula_sum 'Mg12 Zn2 Mo2'
_symmetry_space_group_name_H-M 'P 1'
_symmetry_Int_Tables_number 1
_cell_length_a 4.834
_cell_length_b 6.002
_cell_length_c 10.733
_cell_angle_alpha 90.00
_cell_angle_beta 90.00
_cell_angle_gamma 90.00
loop_
_symmetry_equiv_pos_as_xyz
'x,y,z'
loop_
_atom_site_label
_atom_site_type_symbol
_atom_site_fract_x
_atom_site_fract_y
_atom_site_fract_z
Mg1 Mg 0.000 0.000 0.000
Mg2 Mg 0.000 0.000 0.500
Mg3 Mg 0.000 0.240 0.262
Mg4 Mg 0.000 0.260 0.762
Mg5 Mg 0.000 0.500 0.000
Mg6 Mg 0.000 0.500 0.500
Mg7 Mg 0.000 0.740 0.762
Mg8 Mg 0.000 0.760 0.262
Mg9 Mg 0.500 0.249 0.598
Mg10 Mg 0.500 0.251 0.098
Mg11 Mg 0.500 0.749 0.098
Mg12 Mg 0.500 0.751 0.598
Zn1 Zn 0.500 0.000 0.844
Zn2 Zn 0.500 0.500 0.344
Mo1 Mo 0.500 0.000 0.349
Mo2 Mo 0.500 0.500 0.849
```

Most intense lines, 2θ = 15–90°, by angle:
hkl, 2θ (°), d [Å], I (rel.)
0 0 2, 16.52, 5.367, 436
1 0 0, 18.35, 4.834, 304
1 0 2, 24.79, 3.592, 263
0 2 2, 34.24, 2.619, 380
2 0 0, 37.20, 2.417, 389
1 0 4, 38.37, 2.346, 601
1 2 2, 39.12, 2.303, 1000
2 2 2, 51.45, 1.776, 229
3 2 2, 68.36, 1.372, 179
2 2 6, 72.96, 1.297, 189